The following is a simulated X-ray powder pattern of Na3Tl5Bi. It was derived from DFT lattice parameters and positions (GGA-PBE), using Cu Kα, 1.54184 Å.

Atomic structure:
```
Na3Tl5Bi
1.0
-4.724 4.724 6.450
4.724 -4.724 6.450
4.724 4.724 -6.450
Na Tl Bi
6 10 2
direct
0.111 0.611 0.722
0.250 0.250 0.000
0.389 0.111 0.500
0.611 0.889 0.500
0.750 0.750 0.000
0.889 0.389 0.278
0.000 0.000 0.000
0.070 0.159 0.500
0.159 0.659 0.089
0.341 0.430 0.500
0.430 0.930 0.089
0.500 0.500 0.000
0.570 0.070 0.911
0.659 0.570 0.500
0.841 0.341 0.911
0.930 0.841 0.500
0.250 0.750 0.500
0.750 0.250 0.500
```

Most intense lines, 2θ = 10–80°, most intense first:
2θ (°)  I_rel
33.65  100
26.69  77
19.13  43
29.64  32
22.14  26
51.73  26
33.04  25
44.82  25